No. 1
For Pr2ScNi9, a structure optimized by DFT (PBE) gives the calculated PXRD pattern in this record (Cu Ka).

Atomic structure:
```
data_Pr2ScNi9
_chemical_formula_sum 'Pr6 Sc3 Ni27'
_space_group_name_H-M_alt 'R -3 m'
_space_group_IT_number 166
_space_group_name_Hall '-R 3 2"'
_cell_length_a 4.9495
_cell_length_b 4.9495
_cell_length_c 24.9537
_cell_angle_alpha 90.00
_cell_angle_beta 90.00
_cell_angle_gamma 120.00
loop_
_atom_site_label
_atom_site_type_symbol
_atom_site_fract_x
_atom_site_fract_y
_atom_site_fract_z
_atom_site_occupancy
Pr1 Pr 0.0000 0.0000 0.1364 1
Sc1 Sc 0.0000 0.0000 0.0000 1
Ni1 Ni 0.0000 0.0000 0.3329 1
Ni2 Ni 0.0000 0.0000 0.5000 1
Ni3 Ni 0.0009 0.5004 0.0784 1
```

Principal peaks in the range 2θ from 10° to 80°, by angle:
h k l	d (Å)	I/Imax
1 0 4	3.533	26
1 0 7	2.741	43
0 1 8	2.522	48
1 1 0	2.475	52
0 2 1	2.135	42
1 1 6	2.127	100
0 2 4	2.027	26
0 1 11	2.005	37
2 0 5	1.969	43
0 3 6	1.351	21
1 2 11	1.318	18
2 2 0	1.237	30

***

No. 2
For NiP2SeN, a structure optimized by DFT (PBE) gives the calculated PXRD pattern in this record (Cu Ka).

Atomic structure:
```
data_NiP2SeN
_chemical_formula_sum 'Ni1 P2 Se1 N1'
_space_group_name_H-M_alt 'P 1'
_space_group_IT_number 1
_space_group_name_Hall 'P 1'
_cell_length_a 3.677
_cell_length_b 4.263
_cell_length_c 5.734
_cell_angle_alpha 82.66
_cell_angle_beta 76.30
_cell_angle_gamma 65.13
loop_
_atom_site_label
_atom_site_type_symbol
_atom_site_fract_x
_atom_site_fract_y
_atom_site_fract_z
_atom_site_occupancy
Ni1 Ni 0.000 0.000 0.000 1
P1 P 0.135 0.090 0.597 1
P2 P 0.818 0.847 0.396 1
Se1 Se 0.671 0.619 0.037 1
N1 N 0.071 0.473 0.501 1
```

Principal peaks in the range 2θ from 10° to 80°, by angle:
h k l	d (Å)	I/Imax
0 0 1	5.568	100
0 1 0	3.866	38
1 0 0	3.266	49
1 1 0	3.221	52
1 1 1	3.108	79
0 0 2	2.784	92
1 -1 0	2.109	49
1 2 1	2.053	61
1 1 -2	1.902	27
1 2 -1	1.845	27
2 1 1	1.831	36
2 1 -1	1.595	32

***

No. 3
For DyGaPtAu, a structure optimized by DFT (PBE) gives the calculated PXRD pattern in this record (Cu Ka).

Atomic structure:
```
data_DyGaPtAu
_chemical_formula_sum 'Dy4 Ga4 Pt4 Au4'
_space_group_name_H-M_alt 'F -4 3 m'
_space_group_IT_number 216
_space_group_name_Hall 'F -4 2 3'
_cell_length_a 6.757
_cell_length_b 6.757
_cell_length_c 6.757
_cell_angle_alpha 90.00
_cell_angle_beta 90.00
_cell_angle_gamma 90.00
loop_
_atom_site_label
_atom_site_type_symbol
_atom_site_fract_x
_atom_site_fract_y
_atom_site_fract_z
_atom_site_occupancy
Dy1 Dy 0.000 0.000 0.000 1
Ga1 Ga 0.000 0.000 0.500 1
Pt1 Pt 0.250 0.250 0.250 1
Au1 Au 0.250 0.250 0.750 1
```

Principal peaks in the range 2θ from 10° to 80°, by angle:
h k l	d (Å)	I/Imax
1 1 1	3.901	5
2 0 0	3.379	8
2 2 0	2.389	100
3 1 1	2.037	2
2 2 2	1.951	2
4 0 0	1.689	17
3 3 1	1.550	1
4 2 0	1.511	3
4 2 2	1.379	36
5 1 1	1.300	1

***

No. 4
For BeAl2Rh4, a structure optimized by DFT (PBE) gives the calculated PXRD pattern in this record (Cu Ka).

Atomic structure:
```
data_BeAl2Rh4
_chemical_formula_sum 'Be2 Al4 Rh8'
_space_group_name_H-M_alt 'I 4/m m m'
_space_group_IT_number 139
_space_group_name_Hall '-I 4 2'
_cell_length_a 5.770
_cell_length_b 5.770
_cell_length_c 5.834
_cell_angle_alpha 90.00
_cell_angle_beta 90.00
_cell_angle_gamma 90.00
loop_
_atom_site_label
_atom_site_type_symbol
_atom_site_fract_x
_atom_site_fract_y
_atom_site_fract_z
_atom_site_occupancy
Be1 Be 0.000 0.000 0.000 1
Al1 Al 0.000 0.500 0.000 1
Rh1 Rh 0.250 0.250 0.250 1
```

Principal peaks in the range 2θ from 10° to 80°, by angle:
h k l	d (Å)	I/Imax
1 1 0	4.080	3
0 0 2	2.917	39
2 0 0	2.885	76
1 1 2	2.373	2
2 0 2	2.051	100
2 2 0	2.040	49
2 2 2	1.672	29
0 0 4	1.458	8
4 0 0	1.442	16
2 0 4	1.302	12
4 0 2	1.293	12
4 2 0	1.290	12